# 1
The following is a simulated powder X-ray diffraction pattern of Nd4Y2Er3. It was derived from a cell relaxed with GGA-PBE, using Cu Ka.

Atomic structure:
Cell: 9.7018 9.7018 6.4527 Å, 93.06 93.06 89.76°
Element x y z (fractional)
Nd 0.0974 0.6880 0.8867
Nd 0.1874 0.5548 0.3932
Nd 0.3120 0.9026 0.6133
Nd 0.4452 0.8126 0.1068
Nd 0.5548 0.1874 0.8932
Nd 0.6880 0.0974 0.3867
Nd 0.8126 0.4452 0.6068
Nd 0.9026 0.3120 0.1133
Y 0.2317 0.3488 0.9507
Y 0.3488 0.2317 0.4507
Y 0.6512 0.7683 0.5493
Y 0.7683 0.6512 0.0493
Er 0.0275 0.1618 0.5915
Er 0.1618 0.0275 0.0915
Er 0.4664 0.5336 0.7500
Er 0.5336 0.4664 0.2500
Er 0.8382 0.9725 0.9085
Er 0.9725 0.8382 0.4085

Main lines, in order of rising 2θ (2θ = 5–70°):
- 2θ 29.14, I 38
- 2θ 29.56, I 76
- 2θ 29.77, I 37
- 2θ 30.30, I 46
- 2θ 31.61, I 97
- 2θ 31.94, I 43
- 2θ 32.81, I 100
- 2θ 33.33, I 47

# 2
The following is a simulated powder X-ray diffraction pattern of Cs3WSe4. It was derived from a cell relaxed with GGA-PBE, using Cu Ka.

Atomic structure:
Cell: 13.9997 7.1540 6.9089 Å, 90.00 90.00 90.00°
Element x y z (fractional)
Cs 0.0000 0.1518 0.0000
Cs 0.2494 0.7247 0.0297
Cs 0.2506 0.2753 0.5297
Cs 0.5000 0.8482 0.5000
Cs 0.7494 0.2753 0.5297
Cs 0.7506 0.7247 0.0297
W 0.0000 0.6401 0.4191
W 0.5000 0.3599 0.9191
Se 0.0000 0.3170 0.4997
Se 0.0000 0.6487 0.0747
Se 0.1461 0.7792 0.5303
Se 0.3539 0.2208 0.0303
Se 0.5000 0.3513 0.5747
Se 0.5000 0.6830 0.9997
Se 0.6461 0.2208 0.0303
Se 0.8539 0.7792 0.5303

Main lines, in order of rising 2θ (2θ = 5–70°):
- 2θ 14.30, I 31
- 2θ 18.95, I 33
- 2θ 21.93, I 81
- 2θ 24.89, I 46
- 2θ 25.45, I 51
- 2θ 25.77, I 100
- 2θ 31.26, I 38
- 2θ 49.04, I 32